(1)
Computed powder diffractogram of YMg for Cu Kα, from a crystal structure in the Materials Project, relaxed with PBE.
Peak positions follow from Bragg's law for the DFT cell and can differ from measured ones.

Structural model:
a b c (Å): 12.2822 3.4930 8.3123
angles (deg): 90.00 109.08 90.00
Space group Cm (No. 8)
Inequivalent atoms, fractional coordinates:
Y: 0.0000 0.0000 0.0000 (multiplicity 2)
Y: 0.0173 0.0000 0.5848 (multiplicity 2)
Y: 0.3386 0.0000 0.2308 (multiplicity 2)
Mg: 0.1398 0.5000 0.3467 (multiplicity 2)
Mg: 0.2056 0.5000 0.8907 (multiplicity 2)
Mg: 0.3085 0.0000 0.6493 (multiplicity 2)

Top 10 peaks for 10 to 80 degrees two-theta, low angle first:
| hkl | two_theta | intensity |
| --- | --- | --- |
| 2 0 0 | 15.27 | 344 |
| 2 0 -2 | 22.82 | 190 |
| 1 1 0 | 26.65 | 257 |
| 1 1 1 | 30.01 | 193 |
| 2 0 2 | 31.40 | 464 |
| 4 0 -2 | 31.79 | 605 |
| 1 1 -2 | 33.51 | 1000 |
| 0 0 3 | 34.24 | 227 |
| 3 1 0 | 34.60 | 983 |
| 6 0 0 | 46.97 | 187 |

(2)
Computed powder diffractogram of Nd3In for Cu Kα, from a crystal structure in the Materials Project, relaxed with PBE.
Peak positions follow from Bragg's law for the DFT cell and can differ from measured ones.

Structural model:
a b c (Å): 7.2058 7.2058 5.6195
angles (deg): 90.00 90.00 120.00
Space group P6_3/mmc (No. 194)
Inequivalent atoms, fractional coordinates:
Nd: 0.1762 0.3524 0.2500 (multiplicity 6)
In: 0.3333 0.6667 0.7500 (multiplicity 2)

Top 10 peaks for 10 to 80 degrees two-theta, low angle first:
| hkl | two_theta | intensity |
| --- | --- | --- |
| 2 0 0 | 28.61 | 240 |
| 0 0 2 | 31.85 | 247 |
| 2 0 1 | 32.83 | 1000 |
| 2 0 2 | 43.34 | 155 |
| 2 2 0 | 50.67 | 186 |
| 2 0 3 | 57.37 | 201 |
| 2 2 2 | 61.11 | 211 |
| 4 0 1 | 61.71 | 151 |
| 4 0 2 | 68.83 | 36 |
| 2 0 4 | 74.00 | 31 |

(3)
Computed powder diffractogram of V5Fe5Si6 for Cu Kα, from a crystal structure in the Materials Project, relaxed with PBE.
Peak positions follow from Bragg's law for the DFT cell and can differ from measured ones.

Structural model:
a b c (Å): 4.7232 11.8508 6.9242
angles (deg): 90.00 90.00 90.00
Space group Amm2 (No. 38)
Inequivalent atoms, fractional coordinates:
V: 0.0000 0.0000 0.0000 (multiplicity 2)
V: 0.0000 0.1137 0.3397 (multiplicity 4)
V: 0.5000 0.1108 0.1127 (multiplicity 4)
Fe: 0.2497 0.1680 0.7349 (multiplicity 8)
Fe: 0.5000 0.0000 0.4721 (multiplicity 2)
Si: 0.0000 0.0000 0.6355 (multiplicity 2)
Si: 0.0000 0.2064 0.0268 (multiplicity 4)
Si: 0.5000 0.0000 0.8128 (multiplicity 2)
Si: 0.5000 0.1983 0.4369 (multiplicity 4)

Top 10 peaks for 10 to 80 degrees two-theta, low angle first:
| hkl | two_theta | intensity |
| --- | --- | --- |
| 0 1 3 | 39.79 | 343 |
| 0 4 2 | 40.06 | 368 |
| 0 5 1 | 40.22 | 417 |
| 2 2 0 | 41.12 | 686 |
| 1 1 3 | 44.35 | 794 |
| 1 4 2 | 44.59 | 626 |
| 1 5 1 | 44.74 | 754 |
| 0 3 3 | 45.52 | 427 |
| 2 0 2 | 46.55 | 527 |
| 2 3 1 | 46.69 | 1000 |

(4)
Computed powder diffractogram of Mn3Bi3N5 for Cu Kα, from a crystal structure in the Materials Project, relaxed with PBE.
Peak positions follow from Bragg's law for the DFT cell and can differ from measured ones.

Structural model:
a b c (Å): 5.6222 7.5611 8.5755
angles (deg): 105.36 96.70 95.82
Space group P-1 (No. 2)
Inequivalent atoms, fractional coordinates:
Mn: 0.0612 0.1832 0.0258 (multiplicity 2)
Mn: 0.0707 0.4266 0.7217 (multiplicity 2)
Mn: 0.3237 0.5099 0.4027 (multiplicity 2)
Bi: 0.2469 0.0273 0.4394 (multiplicity 2)
Bi: 0.4571 0.8197 0.8043 (multiplicity 2)
Bi: 0.4993 0.6858 0.1329 (multiplicity 2)
N: 0.0750 0.2971 0.8745 (multiplicity 2)
N: 0.0833 0.3646 0.2247 (multiplicity 2)
N: 0.1812 0.7128 0.4184 (multiplicity 2)
N: 0.2236 0.9732 0.9945 (multiplicity 2)
N: 0.3381 0.4537 0.5982 (multiplicity 2)

Top 10 peaks for 10 to 80 degrees two-theta, low angle first:
| hkl | two_theta | intensity |
| --- | --- | --- |
| 1 0 0 | 16.03 | 618 |
| 0 2 -2 | 27.99 | 579 |
| 1 -1 2 | 28.08 | 345 |
| 1 0 2 | 29.04 | 260 |
| 0 2 1 | 29.72 | 968 |
| -1 2 1 | 31.37 | 277 |
| 1 2 -2 | 32.55 | 1000 |
| 1 0 -3 | 34.44 | 659 |
| 2 1 0 | 36.37 | 289 |
| 2 2 0 | 43.91 | 200 |

(5)
Computed powder diffractogram of PmGdAl2 for Cu Kα, from a crystal structure in the Materials Project, relaxed with PBE.
Peak positions follow from Bragg's law for the DFT cell and can differ from measured ones.

Structural model:
a b c (Å): 7.3214 7.3214 7.3214
angles (deg): 90.00 90.00 90.00
Space group Fm-3m (No. 225)
Inequivalent atoms, fractional coordinates:
Pm: 0.0000 0.0000 0.0000 (multiplicity 4)
Gd: 0.0000 0.0000 0.5000 (multiplicity 4)
Al: 0.2500 0.2500 0.2500 (multiplicity 8)

Top 8 peaks for 10 to 80 degrees two-theta, low angle first:
| hkl | two_theta | intensity |
| --- | --- | --- |
| 2 0 0 | 24.31 | 594 |
| 2 2 0 | 34.65 | 1000 |
| 2 2 2 | 42.79 | 181 |
| 4 0 0 | 49.82 | 178 |
| 4 2 0 | 56.19 | 245 |
| 4 2 2 | 62.11 | 368 |
| 4 4 0 | 73.12 | 113 |
| 6 0 0 | 78.36 | 116 |

(6)
Computed powder diffractogram of La3AlN for Cu Kα, from a crystal structure in the Materials Project, relaxed with PBE.
Peak positions follow from Bragg's law for the DFT cell and can differ from measured ones.

Structural model:
a b c (Å): 5.1010 5.1010 5.1010
angles (deg): 90.00 90.00 90.00
Space group Pm-3m (No. 221)
Inequivalent atoms, fractional coordinates:
La: 0.0000 0.0000 0.5000 (multiplicity 3)
Al: 0.5000 0.5000 0.5000 (multiplicity 1)
N: 0.0000 0.0000 0.0000 (multiplicity 1)

Top 10 peaks for 10 to 80 degrees two-theta, low angle first:
| hkl | two_theta | intensity |
| --- | --- | --- |
| 1 0 0 | 17.38 | 250 |
| 1 1 0 | 24.68 | 125 |
| 1 1 1 | 30.35 | 1000 |
| 2 0 0 | 35.19 | 573 |
| 2 1 0 | 39.50 | 124 |
| 2 2 0 | 50.61 | 402 |
| 3 0 0 | 53.92 | 61 |
| 3 1 1 | 60.16 | 431 |
| 2 2 2 | 63.14 | 136 |
| 4 0 0 | 74.39 | 63 |